Theoretical powder diffraction line list of Tl2Pb6Au for copper Kα, from a DFT-relaxed cell (PBE, Alexandria).
No peak broadening, texture or thermal motion is included.

The 10 most intense peaks (15 to 90 degrees two-theta), sorted by position:
two_theta	intensity
26.84	14
27.82	21
29.38	24
30.00	51
31.43	100
33.21	47
33.78	14
35.62	47
38.33	18
38.88	19

Cell and atoms:
Cell: 9.5465 9.5465 6.4437 Å, 103.65 103.65 89.18°
Sites, in units of the cell vectors:
Tl 0.0820 0.1814 0.0124
Tl 0.1814 0.0820 0.5124
Tl 0.8186 0.9180 0.4876
Tl 0.9180 0.8186 0.9876
Pb 0.1188 0.5261 0.8556
Pb 0.1289 0.7266 0.4842
Pb 0.2734 0.8711 0.0158
Pb 0.3211 0.4105 0.4845
Pb 0.4105 0.3211 0.9845
Pb 0.4739 0.8812 0.6444
Pb 0.5261 0.1188 0.3556
Pb 0.5895 0.6789 0.0155
Pb 0.6789 0.5895 0.5155
Pb 0.7266 0.1289 0.9842
Pb 0.8711 0.2734 0.5158
Pb 0.8812 0.4739 0.1444
Au 0.3695 0.6305 0.2500
Au 0.6305 0.3695 0.7500



Theoretical powder diffraction line list of RbNa2Nb2O7 for copper Kα, from a DFT-relaxed cell (PBE, Alexandria).
No peak broadening, texture or thermal motion is included.

The 10 most intense peaks (15 to 90 degrees two-theta), sorted by position:
two_theta	intensity
16.34	28
21.51	45
27.12	41
27.60	47
29.33	100
31.45	41
41.99	23
46.23	20
54.69	24
55.69	20

Cell and atoms:
Cell: 9.6564 9.6564 9.6564 Å, 156.53 41.95 145.73°
Sites, in units of the cell vectors:
Rb 0.0000 0.0000 0.0000
Na 0.2181 0.4912 0.7269
Na 0.7643 0.4912 0.2731
Nb 0.3971 0.0053 0.3918
Nb 0.6135 0.0053 0.6082
O 0.1911 0.8986 0.2925
O 0.3235 0.4244 0.8992
O 0.3914 0.8914 0.5000
O 0.5252 0.4244 0.1008
O 0.6061 0.8986 0.7075
O 0.7144 0.3243 0.3901
O 0.9342 0.3243 0.6099



Theoretical powder diffraction line list of Na10B19C for copper Kα, from a DFT-relaxed cell (PBE, Alexandria).
No peak broadening, texture or thermal motion is included.

The 10 most intense peaks (15 to 90 degrees two-theta), sorted by position:
two_theta	intensity
20.58	2
34.39	21
40.41	100
41.87	22
55.26	11
61.60	18
65.68	2
75.49	12
76.29	12
77.28	17

Cell and atoms:
Cell: 3.0112 3.0112 43.1486 Å, 90.00 90.00 120.00°
Sites, in units of the cell vectors:
Na 0.0000 0.0000 0.0487
Na 0.0000 0.0000 0.1484
Na 0.0000 0.0000 0.2486
Na 0.0000 0.0000 0.3490
Na 0.0000 0.0000 0.4496
Na 0.0000 0.0000 0.5504
Na 0.0000 0.0000 0.6510
Na 0.0000 0.0000 0.7514
Na 0.0000 0.0000 0.8516
Na 0.0000 0.0000 0.9513
B 0.3333 0.6667 0.0000
B 0.3333 0.6667 0.0985
B 0.3333 0.6667 0.1986
B 0.3333 0.6667 0.2987
B 0.3333 0.6667 0.3993
B 0.3333 0.6667 0.5000
B 0.3333 0.6667 0.6007
B 0.3333 0.6667 0.7013
B 0.3333 0.6667 0.8014
B 0.3333 0.6667 0.9015
B 0.6667 0.3333 0.0985
B 0.6667 0.3333 0.1986
B 0.6667 0.3333 0.2987
B 0.6667 0.3333 0.3993
B 0.6667 0.3333 0.5000
B 0.6667 0.3333 0.6007
B 0.6667 0.3333 0.7013
B 0.6667 0.3333 0.8014
B 0.6667 0.3333 0.9015
C 0.6667 0.3333 0.0000



Theoretical powder diffraction line list of ErSiCl for copper Kα, from a DFT-relaxed cell (PBE, Alexandria).
No peak broadening, texture or thermal motion is included.

The 10 most intense peaks (15 to 90 degrees two-theta), sorted by position:
two_theta	intensity
16.62	37
25.90	100
26.36	24
32.46	99
34.27	61
38.32	43
40.52	29
45.40	55
56.91	19
70.98	25

Cell and atoms:
Cell: 10.9119 10.9119 10.9119 Å, 21.10 21.10 21.10°
Sites, in units of the cell vectors:
Er 0.0587 0.0587 0.0587
Er 0.9413 0.9413 0.9413
Si 0.3373 0.3373 0.3373
Si 0.6627 0.6627 0.6627
Cl 0.2241 0.2241 0.2241
Cl 0.7759 0.7759 0.7759



Theoretical powder diffraction line list of Ti4Mn2Ge5 for copper Kα, from a DFT-relaxed cell (PBE, Alexandria).
No peak broadening, texture or thermal motion is included.

The 10 most intense peaks (15 to 90 degrees two-theta), sorted by position:
two_theta	intensity
35.14	35
38.07	51
39.05	55
39.88	50
40.11	70
40.21	100
40.64	85
42.20	48
48.76	31
83.05	30

Cell and atoms:
Cell: 9.4568 9.4568 9.4568 Å, 130.89 59.42 148.67°
Sites, in units of the cell vectors:
Ti 0.0636 0.7390 0.8026
Ti 0.1426 0.1042 0.2467
Ti 0.3574 0.6042 0.9616
Ti 0.4364 0.2390 0.6753
Ti 0.5636 0.7610 0.3247
Ti 0.6426 0.3958 0.0384
Ti 0.8574 0.8958 0.7533
Ti 0.9364 0.2610 0.1974
Mn 0.0555 0.7500 0.3055
Mn 0.4445 0.7500 0.6945
Mn 0.5555 0.2500 0.3055
Mn 0.9445 0.2500 0.6945
Ge 0.0740 0.4044 0.4784
Ge 0.2152 0.7963 0.0114
Ge 0.2500 0.2500 0.0000
Ge 0.2848 0.2963 0.5811
Ge 0.4260 0.9044 0.3303
Ge 0.5740 0.0956 0.6697
Ge 0.7152 0.7037 0.4189
Ge 0.7500 0.7500 0.0000
Ge 0.7848 0.2037 0.9886
Ge 0.9260 0.5956 0.5216



Theoretical powder diffraction line list of PmNdTm2Hg4 for copper Kα, from a DFT-relaxed cell (PBE, Alexandria).
No peak broadening, texture or thermal motion is included.

The 8 most intense peaks (15 to 90 degrees two-theta), sorted by position:
two_theta	intensity
23.68	2
33.74	100
41.64	1
48.46	18
54.62	1
60.35	38
70.96	12
80.92	17

Cell and atoms:
Cell: 9.2040 9.2040 9.2040 Å, 33.55 33.55 33.55°
Sites, in units of the cell vectors:
Pm 0.0000 0.0000 0.0000
Nd 0.5000 0.5000 0.5000
Tm 0.2501 0.2501 0.2501
Tm 0.7499 0.7499 0.7499
Hg 0.1246 0.1246 0.1246
Hg 0.3744 0.3744 0.3744
Hg 0.6256 0.6256 0.6256
Hg 0.8754 0.8754 0.8754



Theoretical powder diffraction line list of Mg6Si5 for copper Kα, from a DFT-relaxed cell (PBE, Alexandria).
No peak broadening, texture or thermal motion is included.

The 10 most intense peaks (15 to 90 degrees two-theta), sorted by position:
two_theta	intensity
33.71	47
34.06	59
34.20	58
34.79	28
35.22	27
37.58	43
39.32	22
39.92	67
40.08	71
41.40	100

Cell and atoms:
Cell: 4.3623 6.8288 14.8218 Å, 80.89 81.76 89.85°
Sites, in units of the cell vectors:
Mg 0.0000 0.0000 0.0000
Mg 0.0017 0.4784 0.9970
Mg 0.1583 0.3599 0.6797
Mg 0.1961 0.9099 0.6055
Mg 0.2709 0.3450 0.4574
Mg 0.4452 0.6962 0.1077
Mg 0.4495 0.2036 0.1034
Mg 0.5473 0.7811 0.9020
Mg 0.5673 0.2883 0.8616
Mg 0.7246 0.5966 0.5507
Mg 0.8022 0.0520 0.3980
Mg 0.8862 0.4150 0.2238
Si 0.0910 0.6280 0.8116
Si 0.0943 0.0110 0.8070
Si 0.2784 0.7484 0.4391
Si 0.3540 0.2238 0.2915
Si 0.3616 0.8851 0.2741
Si 0.6332 0.6567 0.7238
Si 0.6356 0.0221 0.7213
Si 0.7171 0.1950 0.5667
Si 0.8155 0.6588 0.3648
Si 0.8973 0.8250 0.2018



Theoretical powder diffraction line list of Ce4NiRu for copper Kα, from a DFT-relaxed cell (PBE, Alexandria).
No peak broadening, texture or thermal motion is included.

The 10 most intense peaks (15 to 90 degrees two-theta), sorted by position:
two_theta	intensity
19.51	26
27.72	18
29.08	100
31.07	31
38.02	36
39.61	25
43.51	17
47.70	37
49.89	18
76.26	17

Cell and atoms:
Cell: 7.6628 7.6628 7.6628 Å, 107.14 107.14 114.24°
Sites, in units of the cell vectors:
Ce 0.1990 0.0000 0.1990
Ce 0.2533 0.5500 0.2966
Ce 0.2533 0.9567 0.7034
Ce 0.3000 0.5033 0.7966
Ce 0.7067 0.5033 0.2034
Ce 0.7500 0.0510 0.3010
Ce 0.7500 0.4490 0.6990
Ce 0.8010 0.0000 0.8010
Ni 0.0035 0.5035 0.5000
Ni 0.2535 0.2535 0.0000
Ru 0.4977 0.9977 0.5000
Ru 0.7477 0.7477 0.0000